Structure and simulated powder diffraction line list of Ba3Sr5Ti8O24 (a GGA-PBE-relaxed structure; a wavelength of 1.5418 Å).
No peak broadening, texture or thermal motion is included.

```
Ba3Sr5Ti8O24
1.0
7.958 0.000 0.000
0.000 7.958 0.000
0.000 0.000 7.956
Ba Sr Ti O
3 5 8 24
Cartesian
0.000 0.000 0.000 Ba
0.000 3.979 0.000 Ba
3.979 0.000 0.000 Ba
0.000 0.000 3.978 Sr
0.000 3.979 3.978 Sr
3.979 0.000 3.978 Sr
3.979 3.979 0.000 Sr
3.979 3.979 3.978 Sr
2.000 2.000 2.021 Ti
2.000 2.000 5.935 Ti
2.000 5.958 2.021 Ti
2.000 5.958 5.935 Ti
5.958 2.000 2.021 Ti
5.958 2.000 5.935 Ti
5.958 5.958 2.021 Ti
5.958 5.958 5.935 Ti
0.000 1.999 2.052 O
0.000 1.999 5.904 O
0.000 5.960 2.052 O
0.000 5.960 5.904 O
1.999 0.000 2.052 O
1.999 0.000 5.904 O
2.000 2.000 3.978 O
2.000 5.959 3.978 O
2.015 3.979 2.034 O
2.015 3.979 5.922 O
2.018 2.018 0.000 O
2.018 5.940 0.000 O
3.979 2.015 2.034 O
3.979 2.015 5.922 O
3.979 5.943 2.034 O
3.979 5.943 5.922 O
5.940 2.018 0.000 O
5.940 5.940 0.000 O
5.943 3.979 2.034 O
5.943 3.979 5.922 O
5.960 0.000 2.052 O
5.960 0.000 5.904 O
5.959 2.000 3.978 O
5.959 5.959 3.978 O
```

Top 8 peaks for 10 to 90 degrees two-theta, by angle:
hkl 0 0 2, 2θ 22.3, d 3.979, rel. 9; hkl 2 2 0, 2θ 31.8, d 2.813, rel. 100; hkl 2 2 2, 2θ 39.2, d 2.297, rel. 23; hkl 4 0 0, 2θ 45.6, d 1.989, rel. 38; hkl 2 2 4, 2θ 56.7, d 1.624, rel. 38; hkl 4 4 0, 2θ 66.5, d 1.407, rel. 22; hkl 6 2 0, 2θ 75.6, d 1.258, rel. 16; hkl 4 4 4, 2θ 84.3, d 1.149, rel. 7